Diffraction record for Pr2SmP2N6. The X-ray diffraction stick pattern is calculated, not measured: it uses the GGA-PBE geometry in Alexandria and Cu Kα.
Intensities are scaled so that the largest is 100.

Atomic structure:
a b c (Å): 5.819 5.819 6.132
angles (deg): 90.00 90.00 120.00
Fractional coordinates of all 11 atoms:
Pr  0.333  0.667  0.347
Pr  0.667  0.333  0.653
Sm  0.000  0.000  0.000
P  0.333  0.667  0.818
P  0.667  0.333  0.182
N  0.086  0.376  0.760
N  0.290  0.914  0.760
N  0.376  0.290  0.240
N  0.624  0.710  0.760
N  0.710  0.086  0.240
N  0.914  0.624  0.240

Peak list (10 most intense, 2θ = 5–70°, by intensity)
2θ 22.8, d 3.894, rel. 100
2θ 30.7, d 2.910, rel. 80
2θ 34.2, d 2.619, rel. 70
2θ 38.6, d 2.331, rel. 34
2θ 56.9, d 1.618, rel. 30
2θ 46.7, d 1.947, rel. 29
2θ 50.1, d 1.819, rel. 29
2θ 54.9, d 1.673, rel. 21
2θ 54.6, d 1.680, rel. 20
2θ 64.0, d 1.455, rel. 11

=====

Diffraction record for CeHo2UO8. The X-ray diffraction stick pattern is calculated, not measured: it uses the GGA-PBE geometry in Alexandria and Cu Kα.
Intensities are scaled so that the largest is 100.

Atomic structure:
a b c (Å): 3.804 5.356 7.557
angles (deg): 90.00 90.00 90.00
Fractional coordinates of all 12 atoms:
Ce  0.000  0.000  0.000
Ho  0.500  0.500  0.250
Ho  0.500  0.500  0.750
U  0.000  0.000  0.500
O  0.000  0.241  0.269
O  0.000  0.241  0.731
O  0.000  0.759  0.269
O  0.000  0.759  0.731
O  0.500  0.233  0.500
O  0.500  0.250  0.000
O  0.500  0.750  0.000
O  0.500  0.767  0.500

Peak list (10 most intense, 2θ = 5–70°, by intensity)
2θ 28.8, d 3.101, rel. 100
2θ 28.9, d 3.088, rel. 99
2θ 48.0, d 1.895, rel. 68
2θ 33.4, d 2.680, rel. 66
2θ 56.9, d 1.619, rel. 30
2θ 57.0, d 1.615, rel. 30
2θ 57.1, d 1.613, rel. 30
2θ 47.8, d 1.902, rel. 17
2θ 48.2, d 1.889, rel. 17
2θ 59.9, d 1.544, rel. 10

=====

Diffraction record for BaV2Ag2S7. The X-ray diffraction stick pattern is calculated, not measured: it uses the GGA-PBE geometry in Alexandria and Cu Kα.
Intensities are scaled so that the largest is 100.

Atomic structure:
a b c (Å): 10.691 10.691 10.691
angles (deg): 37.37 37.37 37.37
Fractional coordinates of all 12 atoms:
Ba  0.000  0.000  0.000
V  0.427  0.427  0.427
V  0.573  0.573  0.573
Ag  0.254  0.254  0.254
Ag  0.746  0.746  0.746
S  0.109  0.398  0.701
S  0.299  0.602  0.891
S  0.398  0.701  0.109
S  0.500  0.500  0.500
S  0.602  0.891  0.299
S  0.701  0.109  0.398
S  0.891  0.299  0.602

Peak list (10 most intense, 2θ = 5–70°, by intensity)
2θ 19.1, d 4.640, rel. 100
2θ 26.0, d 3.425, rel. 78
2θ 17.9, d 4.966, rel. 40
2θ 32.5, d 2.756, rel. 38
2θ 45.9, d 1.977, rel. 36
2θ 8.9, d 9.932, rel. 36
2θ 42.1, d 2.147, rel. 33
2θ 45.1, d 2.010, rel. 31
2θ 28.3, d 3.154, rel. 31
2θ 25.8, d 3.458, rel. 27

=====

Diffraction record for LiIn2GaBr4. The X-ray diffraction stick pattern is calculated, not measured: it uses the GGA-PBE geometry in Alexandria and Cu Kα.
Intensities are scaled so that the largest is 100.

Atomic structure:
a b c (Å): 8.942 8.942 8.942
angles (deg): 120.76 119.02 90.20
Fractional coordinates of all 16 atoms:
Li  0.500  0.000  0.000
Li  0.500  0.500  0.500
In  0.000  0.000  0.000
In  0.000  0.000  0.500
In  0.000  0.500  0.000
In  0.500  0.000  0.500
Ga  0.000  0.500  0.500
Ga  0.500  0.500  0.000
Br  0.272  0.283  0.511
Br  0.272  0.761  0.989
Br  0.277  0.745  0.532
Br  0.287  0.255  0.032
Br  0.713  0.745  0.968
Br  0.723  0.255  0.468
Br  0.728  0.239  0.011
Br  0.728  0.717  0.489

Peak list (10 most intense, 2θ = 5–70°, by intensity)
2θ 28.2, d 3.163, rel. 100
2θ 40.4, d 2.235, rel. 47
2θ 40.8, d 2.210, rel. 13
2θ 50.4, d 1.810, rel. 12
2θ 39.7, d 2.269, rel. 12
2θ 31.0, d 2.889, rel. 12
2θ 49.5, d 1.842, rel. 11
2θ 66.0, d 1.415, rel. 9
2θ 23.5, d 3.791, rel. 9
2θ 66.2, d 1.412, rel. 8